(1)
# BaMg2In2
Simulated X-ray powder pattern, a wavelength of 1.5418 Å. Input: a DFT-relaxed cell (GGA-PBE, the Materials Project).
Peak positions follow from Bragg's law for the DFT cell and can differ from measured ones.

Principal peaks in the range 2θ = 10–80°, low angle first:
2theta	I_rel
13.98	22
25.78	88
27.92	100
29.44	59
36.78	61
40.09	65
46.80	48
52.99	21
55.52	49
59.84	16
61.78	14
70.92	15

Structure:
Cell lengths 4.888, 4.888, 12.668 Å; angles 90.00, 90.00, 90.00 degrees
Space group I4/mmm (No. 139)
Unique sites:
Ba 0.000 0.000 0.000 [2 per cell]
Mg 0.000 0.500 0.250 [4 per cell]
In 0.000 0.000 0.386 [4 per cell]


(2)
# ErPaTc2
Simulated X-ray powder pattern, a wavelength of 1.5418 Å. Input: a DFT-relaxed cell (GGA-PBE, the Materials Project).
Peak positions follow from Bragg's law for the DFT cell and can differ from measured ones.

Principal peaks in the range 2θ = 10–80°, low angle first:
2theta	I_rel
22.54	2
26.09	12
37.23	100
43.96	1
46.03	4
53.67	18
58.93	1
60.62	5
67.13	36
79.35	11

Structure:
Cell lengths 6.831, 6.831, 6.831 Å; angles 90.00, 90.00, 90.00 degrees
Space group Fm-3m (No. 225)
Unique sites:
Er 0.000 0.000 0.000 [4 per cell]
Pa 0.000 0.000 0.500 [4 per cell]
Tc 0.250 0.250 0.250 [8 per cell]


(3)
# K2TcBr6
Simulated X-ray powder pattern, a wavelength of 1.5418 Å. Input: a DFT-relaxed cell (GGA-PBE, the Materials Project).
Peak positions follow from Bragg's law for the DFT cell and can differ from measured ones.

Principal peaks in the range 2θ = 10–80°, low angle first:
2theta	I_rel
14.45	45
16.70	43
27.88	12
29.14	98
33.78	100
37.91	21
44.34	14
48.51	68
51.67	11
57.60	37
60.42	23
78.56	14

Structure:
Cell lengths 10.615, 10.615, 10.615 Å; angles 90.00, 90.00, 90.00 degrees
Space group Fm-3m (No. 225)
Unique sites:
K 0.250 0.250 0.250 [8 per cell]
Tc 0.000 0.000 0.000 [4 per cell]
Br 0.000 0.000 0.239 [24 per cell]